Simulated XRD peak list
Compound: BeIn2As
Radiation: copper Kα
Structure: a crystal structure in Alexandria, relaxed with PBE
No peak broadening, texture or thermal motion is included.

Crystal structure
Cell: 6.663 6.663 6.663 Å, 148.26 143.92 48.80°
Sites, in units of the cell vectors:
1 Be 0.000 0.000 0.000
2 In 0.274 0.774 0.500
3 In 0.575 0.575 0.000
4 As 0.897 0.397 0.500

The 6 most intense peaks (15° ≤ 2θ ≤ 90°), in order of rising 2θ:
Position (°2θ), I/Imax
25.52, 63
30.96, 94
36.06, 100
44.86, 46
60.03, 27
64.56, 30

=====

Simulated XRD peak list
Compound: BeAsIr
Radiation: copper Kα
Structure: a crystal structure in Alexandria, relaxed with PBE
No peak broadening, texture or thermal motion is included.

Crystal structure
Cell: 4.026 4.026 4.026 Å, 60.00 60.00 60.00°
Sites, in units of the cell vectors:
1 Be 0.000 0.000 0.000
2 As 0.500 0.500 0.500
3 Ir 0.750 0.750 0.750

The 6 most intense peaks (15° ≤ 2θ ≤ 90°), in order of rising 2θ:
Position (°2θ), I/Imax
27.13, 100
45.04, 70
53.37, 47
72.35, 19
83.12, 24
89.44, 16

=====

Simulated XRD peak list
Compound: KBe6As4
Radiation: copper Kα
Structure: a crystal structure in Alexandria, relaxed with PBE
No peak broadening, texture or thermal motion is included.

Crystal structure
Cell: 13.380 13.325 3.731 Å, 82.80 81.14 16.06°
Sites, in units of the cell vectors:
1 K 0.000 0.000 0.000
2 Be 0.133 0.133 0.367
3 Be 0.250 0.250 0.250
4 Be 0.367 0.367 0.133
5 Be 0.633 0.633 0.867
6 Be 0.750 0.750 0.750
7 Be 0.867 0.867 0.633
8 As 0.195 0.195 0.805
9 As 0.414 0.414 0.586
10 As 0.586 0.586 0.414
11 As 0.805 0.805 0.195

The 6 most intense peaks (15° ≤ 2θ ≤ 90°), in order of rising 2θ:
Position (°2θ), I/Imax
29.51, 100
32.28, 17
35.99, 13
49.11, 16
55.86, 16
60.75, 12

=====

Simulated XRD peak list
Compound: K2BeTlAs2
Radiation: copper Kα
Structure: a crystal structure in Alexandria, relaxed with PBE
No peak broadening, texture or thermal motion is included.

Crystal structure
Cell: 8.789 8.789 8.789 Å, 133.56 65.18 136.94°
Sites, in units of the cell vectors:
1 K 0.173 0.245 0.418
2 K 0.327 0.745 0.072
3 K 0.673 0.255 0.928
4 K 0.827 0.755 0.582
5 Be 0.250 0.250 0.000
6 Be 0.750 0.750 0.000
7 Tl 0.250 0.750 0.500
8 Tl 0.750 0.250 0.500
9 As 0.089 0.816 0.904
10 As 0.411 0.316 0.727
11 As 0.589 0.684 0.273
12 As 0.911 0.184 0.096

The 6 most intense peaks (15° ≤ 2θ ≤ 90°), in order of rising 2θ:
Position (°2θ), I/Imax
22.11, 77
30.69, 62
31.18, 100
35.48, 52
36.96, 56
38.12, 73

=====

Simulated XRD peak list
Compound: LaBe3As4
Radiation: copper Kα
Structure: a crystal structure in Alexandria, relaxed with PBE
No peak broadening, texture or thermal motion is included.

Crystal structure
Cell: 6.864 6.864 6.864 Å, 90.00 90.00 90.00°
Sites, in units of the cell vectors:
1 La 0.000 0.000 0.000
2 La 0.500 0.500 0.500
3 Be 0.000 0.250 0.500
4 Be 0.000 0.750 0.500
5 Be 0.250 0.500 0.000
6 Be 0.500 0.000 0.250
7 Be 0.500 0.000 0.750
8 Be 0.750 0.500 0.000
9 As 0.250 0.250 0.250
10 As 0.250 0.250 0.750
11 As 0.250 0.750 0.250
12 As 0.250 0.750 0.750
13 As 0.750 0.250 0.250
14 As 0.750 0.250 0.750
15 As 0.750 0.750 0.250
16 As 0.750 0.750 0.750

The 6 most intense peaks (15° ≤ 2θ ≤ 90°), in order of rising 2θ:
Position (°2θ), I/Imax
18.28, 51
25.96, 19
31.94, 31
37.04, 100
53.39, 19
66.76, 35

=====

Simulated XRD peak list
Compound: Li3BeAs2
Radiation: copper Kα
Structure: a crystal structure in Alexandria, relaxed with PBE
No peak broadening, texture or thermal motion is included.

Crystal structure
Cell: 7.561 7.561 7.561 Å, 138.61 59.74 138.92°
Sites, in units of the cell vectors:
1 Li 0.179 0.230 0.409
2 Li 0.250 0.250 0.000
3 Li 0.321 0.730 0.051
4 Li 0.679 0.270 0.949
5 Li 0.750 0.750 0.000
6 Li 0.821 0.770 0.591
7 Be 0.250 0.750 0.500
8 Be 0.750 0.250 0.500
9 As 0.118 0.718 0.837
10 As 0.382 0.218 0.600
11 As 0.618 0.782 0.400
12 As 0.882 0.282 0.163

The 6 most intense peaks (15° ≤ 2θ ≤ 90°), in order of rising 2θ:
Position (°2θ), I/Imax
27.20, 25
27.31, 100
33.79, 16
43.70, 16
43.90, 18
48.14, 23

=====

Please write out number 4 again, unchanged.
Simulated XRD peak list
Compound: K2BeTlAs2
Radiation: copper Kα
Structure: a crystal structure in Alexandria, relaxed with PBE
No peak broadening, texture or thermal motion is included.

Crystal structure
Cell: 8.789 8.789 8.789 Å, 133.56 65.18 136.94°
Sites, in units of the cell vectors:
1 K 0.173 0.245 0.418
2 K 0.327 0.745 0.072
3 K 0.673 0.255 0.928
4 K 0.827 0.755 0.582
5 Be 0.250 0.250 0.000
6 Be 0.750 0.750 0.000
7 Tl 0.250 0.750 0.500
8 Tl 0.750 0.250 0.500
9 As 0.089 0.816 0.904
10 As 0.411 0.316 0.727
11 As 0.589 0.684 0.273
12 As 0.911 0.184 0.096

The 6 most intense peaks (15° ≤ 2θ ≤ 90°), in order of rising 2θ:
Position (°2θ), I/Imax
22.11, 77
30.69, 62
31.18, 100
35.48, 52
36.96, 56
38.12, 73

=====

Copy entry 5 word for word.
Simulated XRD peak list
Compound: LaBe3As4
Radiation: copper Kα
Structure: a crystal structure in Alexandria, relaxed with PBE
No peak broadening, texture or thermal motion is included.

Crystal structure
Cell: 6.864 6.864 6.864 Å, 90.00 90.00 90.00°
Sites, in units of the cell vectors:
1 La 0.000 0.000 0.000
2 La 0.500 0.500 0.500
3 Be 0.000 0.250 0.500
4 Be 0.000 0.750 0.500
5 Be 0.250 0.500 0.000
6 Be 0.500 0.000 0.250
7 Be 0.500 0.000 0.750
8 Be 0.750 0.500 0.000
9 As 0.250 0.250 0.250
10 As 0.250 0.250 0.750
11 As 0.250 0.750 0.250
12 As 0.250 0.750 0.750
13 As 0.750 0.250 0.250
14 As 0.750 0.250 0.750
15 As 0.750 0.750 0.250
16 As 0.750 0.750 0.750

The 6 most intense peaks (15° ≤ 2θ ≤ 90°), in order of rising 2θ:
Position (°2θ), I/Imax
18.28, 51
25.96, 19
31.94, 31
37.04, 100
53.39, 19
66.76, 35